# 1
Diffraction record for PdPt5W. The XRD peak list is simulated, not measured: it uses a structure optimized by DFT (GGA-PBE) and copper Kα.

Peak list (8 most intense, 2θ from 15° to 90°, sorted by position)
| 2θ (°) | d [Å] | intensity |
| --- | --- | --- |
| 40.2 | 2.242 | 46 |
| 40.4 | 2.231 | 42 |
| 40.8 | 2.210 | 100 |
| 41.7 | 2.167 | 51 |
| 44.2 | 2.049 | 36 |
| 54.9 | 1.671 | 15 |
| 62.2 | 1.492 | 14 |
| 82.2 | 1.172 | 14 |

Structure:
Lattice parameters (Å, degrees): 8.6347 10.4990 5.5203 90.00 108.33 90.00
Space group C2/c (No. 15)
One atom of each set of equivalent atoms:
Pd  0.0000  0.0000  0.0000
Pt  0.0000  0.2464  0.2500
Pt  0.2222  0.3736  0.6233
Pt  0.2457  0.3665  0.1226
W  0.0000  0.4960  0.2500


# 2
Diffraction record for PdPt9W2. The XRD peak list is simulated, not measured: it uses a structure optimized by DFT (GGA-PBE) and copper Kα.

Peak list (8 most intense, 2θ from 15° to 90°, sorted by position)
| 2θ (°) | d [Å] | intensity |
| --- | --- | --- |
| 39.2 | 2.297 | 100 |
| 39.5 | 2.279 | 33 |
| 45.7 | 1.987 | 44 |
| 45.8 | 1.982 | 21 |
| 66.4 | 1.409 | 14 |
| 66.8 | 1.401 | 14 |
| 80.0 | 1.199 | 16 |
| 80.1 | 1.198 | 12 |

Structure:
Lattice parameters (Å, degrees): 4.8821 6.2555 6.2722 84.67 82.56 82.53
Space group P-1 (No. 2)
One atom of each set of equivalent atoms:
Pd  0.0000  0.0000  0.0000
Pt  0.0124  0.3332  0.6796
Pt  0.2494  0.9119  0.5883
Pt  0.2505  0.2627  0.2373
Pt  0.4877  0.8210  0.1655
Pt  0.5000  0.5000  0.5000
W  0.2518  0.5880  0.9103


# 3
Diffraction record for Pd2Pt3W. The XRD peak list is simulated, not measured: it uses a structure optimized by DFT (GGA-PBE) and copper Kα.

Peak list (8 most intense, 2θ from 15° to 90°, sorted by position)
| 2θ (°) | d [Å] | intensity |
| --- | --- | --- |
| 39.5 | 2.283 | 100 |
| 45.6 | 1.988 | 17 |
| 45.8 | 1.983 | 17 |
| 46.3 | 1.961 | 16 |
| 67.1 | 1.395 | 21 |
| 80.2 | 1.197 | 13 |
| 80.4 | 1.195 | 13 |
| 81.2 | 1.185 | 12 |

Structure:
Lattice parameters (Å, degrees): 3.9664 11.7643 3.9763 90.00 90.00 90.00
Space group Cmmm (No. 65)
One atom of each set of equivalent atoms:
Pd  0.0000  0.1600  0.0000
Pt  0.0000  0.0000  0.5000
Pt  0.0000  0.3373  0.5000
W  0.0000  0.5000  0.0000


# 4
Diffraction record for Pd2Pt5W. The XRD peak list is simulated, not measured: it uses a structure optimized by DFT (GGA-PBE) and copper Kα.

Peak list (8 most intense, 2θ from 15° to 90°, sorted by position)
| 2θ (°) | d [Å] | intensity |
| --- | --- | --- |
| 39.3 | 2.290 | 100 |
| 39.6 | 2.276 | 98 |
| 45.7 | 1.986 | 65 |
| 46.3 | 1.960 | 32 |
| 67.1 | 1.395 | 42 |
| 80.0 | 1.199 | 26 |
| 80.5 | 1.193 | 25 |
| 81.1 | 1.186 | 13 |

Structure:
Lattice parameters (Å, degrees): 5.6440 7.8404 11.1820 90.00 90.00 90.00
Space group Fmmm (No. 69)
One atom of each set of equivalent atoms:
Pd  0.0000  0.0000  0.2456
Pt  0.0000  0.0000  0.5000
Pt  0.2500  0.2500  0.1232
W  0.0000  0.0000  0.0000


# 5
Diffraction record for Pd3Pt3W2. The XRD peak list is simulated, not measured: it uses a structure optimized by DFT (GGA-PBE) and copper Kα.

Peak list (8 most intense, 2θ from 15° to 90°, sorted by position)
| 2θ (°) | d [Å] | intensity |
| --- | --- | --- |
| 35.8 | 2.506 | 64 |
| 39.8 | 2.267 | 65 |
| 40.7 | 2.217 | 100 |
| 43.6 | 2.075 | 60 |
| 44.0 | 2.056 | 64 |
| 45.3 | 2.001 | 28 |
| 75.9 | 1.253 | 25 |
| 88.1 | 1.109 | 24 |

Structure:
Lattice parameters (Å, degrees): 7.1891 7.1891 8.4506 90.00 90.00 120.00
Space group R32 (No. 155, hexagonal axes)
One atom of each set of equivalent atoms:
Pd  0.0000  0.7430  0.0000
Pt  0.0000  0.2690  0.5000
W  0.0000  0.0000  0.2623


# 6
Diffraction record for PdPt4W. The XRD peak list is simulated, not measured: it uses a structure optimized by DFT (GGA-PBE) and copper Kα.

Peak list (8 most intense, 2θ from 15° to 90°, sorted by position)
| 2θ (°) | d [Å] | intensity |
| --- | --- | --- |
| 39.4 | 2.287 | 100 |
| 45.3 | 2.000 | 17 |
| 46.0 | 1.971 | 32 |
| 66.6 | 1.404 | 22 |
| 79.7 | 1.203 | 13 |
| 80.6 | 1.191 | 13 |
| 80.8 | 1.189 | 13 |
| 84.9 | 1.142 | 6 |

Structure:
Lattice parameters (Å, degrees): 2.7832 4.0008 8.3782 90.00 90.00 90.00
Space group Pmmm (No. 47)
One atom of each set of equivalent atoms:
Pd  0.0000  0.0000  0.0000
Pt  0.0000  0.0000  0.3386
Pt  0.5000  0.5000  0.1721
W  0.5000  0.5000  0.5000


# 7
Diffraction record for YPd6Pt23. The XRD peak list is simulated, not measured: it uses a structure optimized by DFT (GGA-PBE) and copper Kα.

Peak list (8 most intense, 2θ from 15° to 90°, sorted by position)
| 2θ (°) | d [Å] | intensity |
| --- | --- | --- |
| 39.5 | 2.279 | 100 |
| 45.8 | 1.983 | 33 |
| 46.5 | 1.954 | 16 |
| 66.7 | 1.402 | 11 |
| 67.3 | 1.392 | 21 |
| 80.4 | 1.194 | 25 |
| 81.4 | 1.182 | 12 |
| 85.2 | 1.139 | 11 |

Structure:
Lattice parameters (Å, degrees): 7.9328 7.9328 15.6354 90.00 90.00 90.00
Space group I4/mmm (No. 139)
One atom of each set of equivalent atoms:
Y  0.0000  0.0000  0.0000
Pd  0.0000  0.0000  0.2475
Pd  0.2479  0.2479  0.5000
Pt  0.0000  0.0000  0.5000
Pt  0.0000  0.2508  0.3718
Pt  0.0000  0.2620  0.1309
Pt  0.0000  0.5000  0.0000
Pt  0.2500  0.2500  0.2500


# 8
Diffraction record for Y2Pd6Pt. The XRD peak list is simulated, not measured: it uses a structure optimized by DFT (GGA-PBE) and copper Kα.

Peak list (8 most intense, 2θ from 15° to 90°, sorted by position)
| 2θ (°) | d [Å] | intensity |
| --- | --- | --- |
| 18.4 | 4.828 | 24 |
| 34.2 | 2.619 | 42 |
| 35.3 | 2.545 | 47 |
| 40.1 | 2.251 | 100 |
| 43.5 | 2.079 | 20 |
| 47.6 | 1.911 | 19 |
| 47.7 | 1.907 | 32 |
| 67.2 | 1.394 | 23 |

Structure:
Lattice parameters (Å, degrees): 9.6610 5.5725 6.2346 90.00 90.17 90.00
Space group C2/m (No. 12)
One atom of each set of equivalent atoms:
Y  0.1667  0.0000  0.1501
Pd  0.0863  0.2407  0.6752
Pd  0.1731  0.5000  0.3258
Pt  0.0000  0.5000  0.0000


# 9
Diffraction record for Y2PdPt3. The XRD peak list is simulated, not measured: it uses a structure optimized by DFT (GGA-PBE) and copper Kα.

Peak list (8 most intense, 2θ from 15° to 90°, sorted by position)
| 2θ (°) | d [Å] | intensity |
| --- | --- | --- |
| 17.7 | 5.009 | 37 |
| 19.6 | 4.528 | 51 |
| 20.9 | 4.240 | 38 |
| 36.0 | 2.492 | 77 |
| 37.8 | 2.379 | 37 |
| 39.1 | 2.306 | 100 |
| 42.0 | 2.152 | 45 |
| 44.8 | 2.023 | 36 |

Structure:
Lattice parameters (Å, degrees): 9.5349 16.9620 12.4133 90.00 90.00 90.00
Space group Fdd2 (No. 43)
One atom of each set of equivalent atoms:
Y  0.0344  0.3390  0.0000
Y  0.0915  0.4037  0.4838
Pd  0.1048  0.2710  0.6372
Pt  0.0000  0.0000  0.1996
Pt  0.0000  0.0000  0.5700
Pt  0.0253  0.2835  0.3217
Pt  0.0895  0.4324  0.2538


# 10
Diffraction record for YPd4Pt2. The XRD peak list is simulated, not measured: it uses a structure optimized by DFT (GGA-PBE) and copper Kα.

Peak list (8 most intense, 2θ from 15° to 90°, sorted by position)
| 2θ (°) | d [Å] | intensity |
| --- | --- | --- |
| 16.1 | 5.505 | 85 |
| 32.5 | 2.753 | 41 |
| 38.1 | 2.363 | 100 |
| 38.7 | 2.329 | 57 |
| 40.2 | 2.242 | 55 |
| 40.5 | 2.227 | 57 |
| 41.2 | 2.189 | 48 |
| 41.8 | 2.160 | 50 |

Structure:
Lattice parameters (Å, degrees): 4.7348 4.9929 5.5298 94.64 92.55 92.38
Space group P-1 (No. 2)
One atom of each set of equivalent atoms:
Y  0.0000  0.0000  0.0000
Pd  0.4898  0.0036  0.7390
Pd  0.5000  0.5000  0.0000
Pd  0.5000  0.5000  0.5000
Pt  0.0095  0.7464  0.4544


# 11
Diffraction record for YPd6Pt4. The XRD peak list is simulated, not measured: it uses a structure optimized by DFT (GGA-PBE) and copper Kα.

Peak list (8 most intense, 2θ from 15° to 90°, sorted by position)
| 2θ (°) | d [Å] | intensity |
| --- | --- | --- |
| 25.9 | 3.439 | 23 |
| 34.5 | 2.599 | 22 |
| 39.3 | 2.292 | 76 |
| 39.9 | 2.261 | 100 |
| 40.6 | 2.221 | 25 |
| 41.6 | 2.172 | 92 |
| 45.4 | 1.999 | 75 |
| 82.5 | 1.170 | 25 |

Structure:
Lattice parameters (Å, degrees): 4.5849 5.5527 14.7974 90.00 90.00 90.00
Space group Amm2 (No. 38)
One atom of each set of equivalent atoms:
Y  0.0000  0.0000  0.0000
Pd  0.0000  0.0000  0.4568
Pd  0.0000  0.2472  0.2926
Pd  0.5000  0.0000  0.7425
Pd  0.5000  0.2492  0.5841
Pt  0.0000  0.0000  0.6352
Pt  0.5000  0.0000  0.2417
Pt  0.5000  0.2487  0.4026


# 12
Diffraction record for YPd6Pt6. The XRD peak list is simulated, not measured: it uses a structure optimized by DFT (GGA-PBE) and copper Kα.

Peak list (8 most intense, 2θ from 15° to 90°, sorted by position)
| 2θ (°) | d [Å] | intensity |
| --- | --- | --- |
| 19.6 | 4.530 | 46 |
| 39.2 | 2.301 | 51 |
| 39.3 | 2.294 | 57 |
| 39.4 | 2.288 | 41 |
| 39.8 | 2.265 | 36 |
| 44.1 | 2.052 | 100 |
| 44.3 | 2.047 | 38 |
| 44.6 | 2.032 | 30 |

Structure:
Lattice parameters (Å, degrees): 5.3192 9.0607 9.1765 90.00 90.00 90.00
Space group Immm (No. 71)
One atom of each set of equivalent atoms:
Y  0.0000  0.0000  0.0000
Pd  0.0000  0.0000  0.3464
Pd  0.0000  0.3445  0.0000
Pd  0.0000  0.5000  0.3011
Pt  0.0000  0.2721  0.5000
Pt  0.2500  0.2500  0.2500


# 13
Diffraction record for Y2Pd2Pt3. The XRD peak list is simulated, not measured: it uses a structure optimized by DFT (GGA-PBE) and copper Kα.

Peak list (8 most intense, 2θ from 15° to 90°, sorted by position)
| 2θ (°) | d [Å] | intensity |
| --- | --- | --- |
| 21.1 | 4.205 | 30 |
| 23.9 | 3.724 | 67 |
| 38.8 | 2.323 | 100 |
| 40.6 | 2.221 | 87 |
| 41.6 | 2.172 | 45 |
| 42.3 | 2.136 | 23 |
| 43.6 | 2.076 | 41 |
| 61.8 | 1.501 | 28 |

Structure:
Lattice parameters (Å, degrees): 9.5860 4.1521 8.0880 90.00 118.67 90.00
Space group C2/m (No. 12)
One atom of each set of equivalent atoms:
Y  0.1948  0.0000  0.2752
Pd  0.1587  0.0000  0.8908
Pt  0.0000  0.5000  0.0000
Pt  0.0233  0.5000  0.3515